Computed X-ray powder pattern
Compound: AlP
Radiation: copper Kα
Structure: a GGA-PBE-relaxed structure
Intensities are scaled so that the largest is 100.

a b c (Å): 5.5071 5.5071 5.5071
angles (deg): 90.00 90.00 90.00
Space group F-43m (No. 216)
Symmetry-distinct sites (fractional):
Al: 0.0000 0.0000 0.0000 (multiplicity 4)
P: 0.2500 0.2500 0.2500 (multiplicity 4)

Most intense lines, 15 to 90 degrees two-theta, in order of rising 2θ:
| d [Å] | Position (°2θ) | I/Imax | index |
| --- | --- | --- | --- |
| 3.180 | 28.06 | 100 | 1 1 1 |
| 1.947 | 46.65 | 66 | 2 2 0 |
| 1.660 | 55.33 | 39 | 3 1 1 |
| 1.377 | 68.10 | 10 | 4 0 0 |
| 1.263 | 75.21 | 16 | 3 3 1 |
| 1.124 | 86.60 | 22 | 4 2 2 |

=====

Computed X-ray powder pattern
Compound: NaSc2I6
Radiation: copper Kα
Structure: a GGA-PBE-relaxed structure
Intensities are scaled so that the largest is 100.

a b c (Å): 7.7955 7.7955 13.7684
angles (deg): 90.00 90.00 120.00
Space group P31c (No. 159)
Symmetry-distinct sites (fractional):
Na: 0.3333 0.6667 0.0000 (multiplicity 2)
Sc: 0.0000 0.0000 0.0054 (multiplicity 2)
Sc: 0.0000 0.0000 0.2549 (multiplicity 2)
I: 0.0078 0.6993 0.6304 (multiplicity 6)
I: 0.0143 0.3114 0.3797 (multiplicity 6)

Most intense lines, 15 to 90 degrees two-theta, in order of rising 2θ:
| d [Å] | Position (°2θ) | I/Imax | index |
| --- | --- | --- | --- |
| 3.898 | 22.81 | 11 | 1 1 0 |
| 3.442 | 25.88 | 18 | 0 0 4 |
| 3.392 | 26.27 | 100 | 1 1 2 |
| 2.580 | 34.77 | 27 | 2 -1 4 |
| 2.393 | 37.59 | 8 | 3 -1 2 |
| 2.250 | 40.07 | 25 | 3 0 0 |
| 1.977 | 45.89 | 22 | 2 -1 6 |
| 1.884 | 48.32 | 15 | 3 0 4 |
| 1.875 | 48.56 | 17 | 4 -2 2 |
| 1.441 | 64.71 | 10 | 4 1 2 |
| 1.367 | 68.65 | 10 | 3 0 8 |
| 1.299 | 72.84 | 8 | 1 1 10 |

=====

Computed X-ray powder pattern
Compound: LiEu4B3N6
Radiation: copper Kα
Structure: a GGA-PBE-relaxed structure
Intensities are scaled so that the largest is 100.

a b c (Å): 7.3618 7.3618 7.3618
angles (deg): 90.00 90.00 90.00
Space group Im-3m (No. 229)
Symmetry-distinct sites (fractional):
Li: 0.0000 0.0000 0.0000 (multiplicity 2)
Eu: 0.2500 0.2500 0.2500 (multiplicity 8)
B: 0.0000 0.0000 0.5000 (multiplicity 6)
N: 0.0000 0.0000 0.3166 (multiplicity 12)

Most intense lines, 15 to 90 degrees two-theta, in order of rising 2θ:
| d [Å] | Position (°2θ) | I/Imax | index |
| --- | --- | --- | --- |
| 3.681 | 24.18 | 89 | 2 0 0 |
| 3.005 | 29.73 | 2 | 2 1 1 |
| 2.603 | 34.46 | 100 | 2 2 0 |
| 2.328 | 38.68 | 1 | 3 1 0 |
| 2.125 | 42.54 | 37 | 2 2 2 |
| 1.840 | 49.53 | 21 | 4 0 0 |
| 1.646 | 55.85 | 42 | 4 2 0 |
| 1.503 | 61.73 | 34 | 4 2 2 |
| 1.301 | 72.65 | 12 | 4 4 0 |
| 1.227 | 77.85 | 21 | 4 4 2 |
| 1.164 | 82.95 | 18 | 6 2 0 |
| 1.110 | 88.00 | 13 | 6 2 2 |